Record 1
For ScNi2O4, the GGA+U geometry in Alexandria gives the theoretical powder XRD pattern in this record (a wavelength of 1.5418 Å).
Peak positions follow from Bragg's law for the DFT cell and can differ from measured ones.

Main lines, in order of rising 2θ (2θ from 10° to 90°):
two_theta  I_rel
29.52  32.7
34.65  42.5
34.89  100.0
56.07  26.7
61.26  41.3
61.57  21.2

Atomic structure:
```
28
Lattice="6.025 0.000 0.000 0.000 6.025 0.000 0.000 0.000 8.600" Properties=species:S:1:pos:R:3 pbc="T T T"
Sc 0.000 1.568 0.000
Sc 0.000 4.457 4.300
Sc 1.568 0.000 6.450
Sc 4.457 0.000 2.150
Ni 1.528 1.528 3.225
Ni 1.529 3.012 6.450
Ni 1.528 4.497 1.075
Ni 3.012 1.529 0.000
Ni 3.012 4.496 4.300
Ni 4.497 1.528 5.375
Ni 4.496 3.012 2.150
Ni 4.497 4.497 7.525
O 0.110 1.532 6.503
O 0.110 4.493 6.397
O 1.532 0.110 8.547
O 1.532 5.915 4.353
O 1.557 2.988 8.369
O 1.557 3.037 4.532
O 2.988 1.557 6.682
O 2.988 4.467 6.219
O 3.037 1.557 1.918
O 3.037 4.467 2.382
O 4.467 2.988 0.232
O 4.467 3.037 4.069
O 4.493 0.110 0.053
O 4.493 5.915 4.247
O 5.915 1.532 2.097
O 5.915 4.493 2.203
```

Record 2
For RbNa2WF6, the GGA+U geometry in Alexandria gives the theoretical powder XRD pattern in this record (a wavelength of 1.5418 Å).
Peak positions follow from Bragg's law for the DFT cell and can differ from measured ones.

Main lines, in order of rising 2θ (2θ from 10° to 90°):
two_theta  I_rel
17.37  71.9
20.07  100.0
20.40  51.4
28.63  75.9
28.78  35.0
28.92  66.6

Atomic structure:
```
20
Lattice="6.204 0.000 0.000 0.000 6.312 0.000 -6.084 0.000 8.706" Properties=species:S:1:pos:R:3 pbc="T T T"
Rb 0.000 0.000 0.000
Rb -3.042 3.156 4.353
Na -2.877 0.087 6.210
Na 0.165 3.069 1.857
Na -0.045 3.243 6.849
Na 2.997 6.226 2.496
W 0.060 0.000 4.353
W 3.102 3.156 0.000
F -1.885 0.783 4.152
F -4.927 2.373 8.505
F -0.690 4.663 3.233
F -3.732 4.806 7.586
F 0.852 0.987 2.628
F -2.190 2.169 6.981
F 2.310 4.144 1.725
F -0.732 5.325 6.078
F 3.852 1.507 1.120
F 0.810 1.650 5.473
F 5.046 3.939 0.201
F 2.004 5.529 4.554
```